Record 1
The following is a simulated powder X-ray diffraction pattern of NdNi2As2. It was derived from a structure optimized by DFT (PBE), using Cu Kα X-rays.
Peak positions follow from Bragg's law for the DFT cell and can differ from measured ones.

```
data_NdNi2As2
_cell_length_a 4.209
_cell_length_b 4.209
_cell_length_c 9.477
_cell_angle_alpha 90.00
_cell_angle_beta 90.00
_cell_angle_gamma 90.00
_space_group_name_H-M_alt 'P 4/n m m'
_space_group_IT_number 129
loop_
_space_group_symop_operation_xyz
'x,y,z'
'-x,-y,-z'
'-y+1/2,x,z'
'y+1/2,-x,-z'
'-x+1/2,-y+1/2,z'
'x+1/2,y+1/2,-z'
'y,-x+1/2,z'
'-y,x+1/2,-z'
'x+1/2,-y,-z'
'-x+1/2,y,z'
'-y,-x,-z'
'y,x,z'
'-x,y+1/2,-z'
'x,-y+1/2,z'
'y+1/2,x+1/2,-z'
'-y+1/2,-x+1/2,z'
loop_
_atom_site_label
_atom_site_type_symbol
_atom_site_fract_x
_atom_site_fract_y
_atom_site_fract_z
_atom_site_occupancy
Nd1 Nd 0.250 0.250 0.247 1
Ni1 Ni 0.250 0.250 0.620 1
Ni2 Ni 0.250 0.750 0.000 1
As1 As 0.250 0.250 0.871 1
As2 As 0.250 0.750 0.500 1
```

Main lines, low angle first (10° ≤ 2θ ≤ 90°):
| 2θ/deg | intensity | index |
| --- | --- | --- |
| 30.0 | 12 | 1 1 0 |
| 35.6 | 100 | 1 1 2 |
| 43.0 | 38 | 2 0 0 |
| 53.0 | 13 | 1 0 5 |
| 56.9 | 21 | 2 1 3 |
| 62.4 | 12 | 2 2 0 |
| 70.5 | 11 | 2 1 5 |
| 74.0 | 18 | 3 1 2 |

=====

Record 2
The following is a simulated powder X-ray diffraction pattern of Nd5Zr3Ni16As12. It was derived from a structure optimized by DFT (PBE), using Cu Kα X-rays.
Peak positions follow from Bragg's law for the DFT cell and can differ from measured ones.

```
data_Nd5Zr3Ni16As12
_cell_length_a 12.8374
_cell_length_b 12.8374
_cell_length_c 4.0023
_cell_angle_alpha 90.00
_cell_angle_beta 90.00
_cell_angle_gamma 120.00
_space_group_name_H-M_alt 'P -6 2 m'
_space_group_IT_number 189
_space_group_name_Hall 'P -6 -2'
loop_
_atom_site_label
_atom_site_type_symbol
_atom_site_fract_x
_atom_site_fract_y
_atom_site_fract_z
_atom_site_occupancy
Nd1 Nd 0.0000 0.1871 0.0000 1
Nd2 Nd 0.3333 0.6667 0.5000 1
Zr1 Zr 0.0000 0.5663 0.5000 1
Ni1 Ni 0.0000 0.0000 0.5000 1
Ni2 Ni 0.0000 0.7223 0.0000 1
Ni3 Ni 0.1189 0.4827 0.0000 1
Ni4 Ni 0.1834 0.8046 0.5000 1
As1 As 0.0000 0.3596 0.5000 1
As2 As 0.0000 0.8192 0.5000 1
As3 As 0.1721 0.6958 0.0000 1
```

Main lines, low angle first (10° ≤ 2θ ≤ 90°):
| 2θ/deg | intensity | index |
| --- | --- | --- |
| 32.9 | 27 | 3 0 1 |
| 35.9 | 100 | 2 2 1 |
| 36.8 | 61 | 3 1 1 |
| 37.1 | 26 | 4 1 0 |
| 45.3 | 41 | 0 0 2 |
| 49.2 | 29 | 6 0 0 |
| 55.3 | 20 | 4 3 1 |
| 69.1 | 20 | 6 0 2 |

=====

Record 3
The following is a simulated powder X-ray diffraction pattern of NdAsO2. It was derived from a structure optimized by DFT (PBE), using Cu Kα X-rays.
Peak positions follow from Bragg's law for the DFT cell and can differ from measured ones.

```
data_NdAsO2
_cell_length_a 6.610
_cell_length_b 6.610
_cell_length_c 12.003
_cell_angle_alpha 90.00
_cell_angle_beta 90.00
_cell_angle_gamma 90.00
_space_group_name_H-M_alt 'I 41/a m d'
_space_group_IT_number 141
loop_
_space_group_symop_operation_xyz
'x,y,z'
'-x,-y,-z'
'-y+1/4,x+3/4,z+1/4'
'y+1/4,-x+3/4,-z+1/4'
'-x+1/2,-y,z+1/2'
'x+1/2,y,-z+1/2'
'y+1/4,-x+1/4,z+3/4'
'-y+1/4,x+1/4,-z+3/4'
'x,-y,-z'
'-x,y,z'
'-y+1/4,-x+1/4,-z+3/4'
'y+1/4,x+1/4,z+3/4'
'-x+1/2,y,-z+1/2'
'x+1/2,-y,z+1/2'
'y+1/4,x+3/4,-z+1/4'
'-y+1/4,-x+3/4,z+1/4'
'x+1/2,y+1/2,z+1/2'
'-x+1/2,-y+1/2,-z+1/2'
'-y+3/4,x+1/4,z+3/4'
'y+3/4,-x+1/4,-z+3/4'
'-x,-y+1/2,z'
'x,y+1/2,-z'
'y+3/4,-x+3/4,z+1/4'
'-y+3/4,x+3/4,-z+1/4'
'x+1/2,-y+1/2,-z+1/2'
'-x+1/2,y+1/2,z+1/2'
'-y+3/4,-x+3/4,-z+1/4'
'y+3/4,x+3/4,z+1/4'
'-x,y+1/2,-z'
'x,-y+1/2,z'
'y+3/4,x+1/4,-z+3/4'
'-y+3/4,-x+1/4,z+3/4'
loop_
_atom_site_label
_atom_site_type_symbol
_atom_site_fract_x
_atom_site_fract_y
_atom_site_fract_z
_atom_site_occupancy
Nd1 Nd 0.000 0.000 0.000 1
As1 As 0.000 0.000 0.500 1
O1 O 0.000 0.006 0.203 1
```

Main lines, low angle first (10° ≤ 2θ ≤ 90°):
| 2θ/deg | intensity | index |
| --- | --- | --- |
| 15.3 | 21 | 1 0 1 |
| 29.8 | 41 | 0 0 4 |
| 30.9 | 100 | 2 0 2 |
| 38.5 | 48 | 2 2 0 |
| 49.4 | 39 | 2 2 4 |
| 53.5 | 29 | 2 0 6 |
| 65.0 | 25 | 4 2 2 |
| 80.9 | 17 | 4 2 6 |

=====

Record 4
The following is a simulated powder X-ray diffraction pattern of Nd2As4O9. It was derived from a structure optimized by DFT (PBE), using Cu Kα X-rays.
Peak positions follow from Bragg's law for the DFT cell and can differ from measured ones.

```
data_Nd2As4O9
_cell_length_a 6.977
_cell_length_b 7.757
_cell_length_c 9.797
_cell_angle_alpha 96.24
_cell_angle_beta 103.43
_cell_angle_gamma 104.60
_space_group_name_H-M_alt 'P -1'
_space_group_IT_number 2
_space_group_name_Hall '-P 1'
loop_
_atom_site_label
_atom_site_type_symbol
_atom_site_fract_x
_atom_site_fract_y
_atom_site_fract_z
_atom_site_occupancy
Nd1 Nd 0.221 0.031 0.405 1
Nd2 Nd 0.252 0.557 0.380 1
As1 As 0.178 0.271 0.063 1
As2 As 0.246 0.420 0.712 1
As3 As 0.305 0.851 0.704 1
As4 As 0.320 0.740 0.080 1
O1 O 0.005 0.724 0.328 1
O2 O 0.103 0.820 0.994 1
O3 O 0.125 0.959 0.625 1
O4 O 0.133 0.604 0.645 1
O5 O 0.186 0.514 0.115 1
O6 O 0.225 0.248 0.244 1
O7 O 0.342 0.371 0.560 1
O8 O 0.369 0.837 0.259 1
O9 O 0.408 0.833 0.551 1
```

Main lines, low angle first (10° ≤ 2θ ≤ 90°):
| 2θ/deg | intensity | index |
| --- | --- | --- |
| 27.5 | 100 | 0 2 1 |
| 28.1 | 39 | 1 0 -3 |
| 28.6 | 15 | 0 0 3 |
| 30.4 | 25 | 1 -2 2 |
| 31.5 | 20 | -2 2 1 |
| 32.0 | 20 | 1 2 -2 |
| 35.1 | 14 | 1 0 3 |
| 45.8 | 13 | 2 2 1 |

=====

Record 5
The following is a simulated powder X-ray diffraction pattern of NdAs2Pd2. It was derived from a structure optimized by DFT (PBE), using Cu Kα X-rays.
Peak positions follow from Bragg's law for the DFT cell and can differ from measured ones.

```
data_NdAs2Pd2
_cell_length_a 4.299
_cell_length_b 4.299
_cell_length_c 10.564
_cell_angle_alpha 90.00
_cell_angle_beta 90.00
_cell_angle_gamma 90.00
_space_group_name_H-M_alt 'I 4/m m m'
_space_group_IT_number 139
_space_group_name_Hall '-I 4 2'
loop_
_atom_site_label
_atom_site_type_symbol
_atom_site_fract_x
_atom_site_fract_y
_atom_site_fract_z
_atom_site_occupancy
Nd1 Nd 0.000 0.000 0.000 1
As1 As 0.000 0.000 0.381 1
Pd1 Pd 0.000 0.500 0.250 1
```

Main lines, low angle first (10° ≤ 2θ ≤ 90°):
| 2θ/deg | intensity | index |
| --- | --- | --- |
| 32.9 | 43 | 1 0 3 |
| 34.0 | 100 | 1 1 2 |
| 42.0 | 49 | 2 0 0 |
| 45.5 | 16 | 1 1 4 |
| 48.0 | 19 | 1 0 5 |
| 54.4 | 20 | 2 1 3 |
| 61.0 | 16 | 2 2 0 |
| 71.7 | 24 | 3 1 2 |

=====

Record 6
The following is a simulated powder X-ray diffraction pattern of NdAs2Pd3. It was derived from a structure optimized by DFT (PBE), using Cu Kα X-rays.
Peak positions follow from Bragg's law for the DFT cell and can differ from measured ones.

```
data_NdAs2Pd3
_cell_length_a 16.809
_cell_length_b 4.155
_cell_length_c 10.089
_cell_angle_alpha 90.00
_cell_angle_beta 108.05
_cell_angle_gamma 90.00
_space_group_name_H-M_alt 'C 1 2/m 1'
_space_group_IT_number 12
_space_group_name_Hall '-C 2y'
loop_
_atom_site_label
_atom_site_type_symbol
_atom_site_fract_x
_atom_site_fract_y
_atom_site_fract_z
_atom_site_occupancy
Nd1 Nd 0.000 0.000 0.000 1
Nd2 Nd 0.155 0.000 0.701 1
As1 As 0.039 0.500 0.786 1
As2 As 0.136 0.500 0.454 1
As3 As 0.199 0.000 0.132 1
Pd1 Pd 0.000 0.500 0.500 1
Pd2 Pd 0.043 0.000 0.331 1
Pd3 Pd 0.122 0.500 0.199 1
Pd4 Pd 0.180 0.500 0.967 1
Pd5 Pd 0.221 0.000 0.391 1
```

Main lines, low angle first (10° ≤ 2θ ≤ 90°):
| 2θ/deg | intensity | index |
| --- | --- | --- |
| 30.5 | 26 | 3 1 1 |
| 34.3 | 41 | 5 1 -1 |
| 34.4 | 100 | 1 1 -3 |
| 35.8 | 24 | 5 1 -2 |
| 38.9 | 30 | 5 1 1 |
| 42.2 | 32 | 6 0 -4 |
| 42.6 | 18 | 2 0 4 |
| 43.6 | 77 | 0 2 0 |

=====

Record 7
The following is a simulated powder X-ray diffraction pattern of NdAs2Rh2. It was derived from a structure optimized by DFT (PBE), using Cu Kα X-rays.
Peak positions follow from Bragg's law for the DFT cell and can differ from measured ones.

```
data_NdAs2Rh2
_cell_length_a 4.299
_cell_length_b 4.299
_cell_length_c 10.056
_cell_angle_alpha 90.00
_cell_angle_beta 90.00
_cell_angle_gamma 90.00
_space_group_name_H-M_alt 'P 4/n m m'
_space_group_IT_number 129
loop_
_space_group_symop_operation_xyz
'x,y,z'
'-x,-y,-z'
'-y+1/2,x,z'
'y+1/2,-x,-z'
'-x+1/2,-y+1/2,z'
'x+1/2,y+1/2,-z'
'y,-x+1/2,z'
'-y,x+1/2,-z'
'x+1/2,-y,-z'
'-x+1/2,y,z'
'-y,-x,-z'
'y,x,z'
'-x,y+1/2,-z'
'x,-y+1/2,z'
'y+1/2,x+1/2,-z'
'-y+1/2,-x+1/2,z'
loop_
_atom_site_label
_atom_site_type_symbol
_atom_site_fract_x
_atom_site_fract_y
_atom_site_fract_z
_atom_site_occupancy
Nd1 Nd 0.250 0.250 0.246 1
As1 As 0.250 0.250 0.637 1
As2 As 0.250 0.750 0.000 1
Rh1 Rh 0.250 0.250 0.878 1
Rh2 Rh 0.250 0.750 0.500 1
```

Main lines, low angle first (10° ≤ 2θ ≤ 90°):
| 2θ/deg | intensity | index |
| --- | --- | --- |
| 33.9 | 66 | 1 0 3 |
| 34.5 | 100 | 1 1 2 |
| 42.0 | 67 | 2 0 0 |
| 50.1 | 24 | 1 0 5 |
| 55.1 | 33 | 2 1 3 |
| 61.0 | 22 | 2 2 0 |
| 67.4 | 20 | 2 1 5 |
| 71.9 | 23 | 3 1 2 |

=====

Record 8
The following is a simulated powder X-ray diffraction pattern of Nd2As3Rh3. It was derived from a structure optimized by DFT (PBE), using Cu Kα X-rays.
Peak positions follow from Bragg's law for the DFT cell and can differ from measured ones.

```
data_Nd2As3Rh3
_cell_length_a 5.613
_cell_length_b 5.613
_cell_length_c 19.445
_cell_angle_alpha 90.00
_cell_angle_beta 90.00
_cell_angle_gamma 90.00
_space_group_name_H-M_alt 'P 4/m m m'
_space_group_IT_number 123
_space_group_name_Hall '-P 4 2'
loop_
_atom_site_label
_atom_site_type_symbol
_atom_site_fract_x
_atom_site_fract_y
_atom_site_fract_z
_atom_site_occupancy
Nd1 Nd 0.000 0.000 0.237 1
As1 As 0.000 0.000 0.000 1
As2 As 0.000 0.000 0.383 1
Rh1 Rh 0.000 0.000 0.122 1
Rh2 Rh 0.000 0.000 0.500 1
```

Main lines, low angle first (10° ≤ 2θ ≤ 90°):
| 2θ/deg | intensity | index |
| --- | --- | --- |
| 15.8 | 100 | 1 0 0 |
| 22.4 | 44 | 1 1 0 |
| 31.9 | 19 | 2 0 0 |
| 35.8 | 27 | 2 1 0 |
| 40.4 | 16 | 1 0 8 |
| 43.7 | 12 | 1 1 8 |
| 51.5 | 9 | 3 1 0 |
| 52.4 | 15 | 2 1 8 |